Diffraction record for DyTmSi. The X-ray diffraction stick pattern is computed, not measured: it uses the PBE geometry in Alexandria and λ = 1.5418 Å (Cu Kα).
Neutral-atom scattering factors, no anomalous dispersion.

a = 5.942 Å, b = 5.942 Å, c = 7.982 Å
α = 123.17°, β = 123.17°, γ = 40.82°
Fractional positions:
Dy 0.086 0.086 0.361
Dy 0.914 0.914 0.639
Tm 0.325 0.325 0.923
Tm 0.675 0.675 0.077
Si 0.376 0.376 0.339
Si 0.624 0.624 0.661

Most intense lines, 2θ from 10° to 80°, sorted by position:
Position (°2θ), Rel. int.
24.3, 43
30.0, 58
30.2, 34
31.7, 98
32.5, 41
32.6, 100
34.0, 39
43.7, 33
53.8, 45
55.5, 33

***

Diffraction record for K4NaCd2. The X-ray diffraction stick pattern is computed, not measured: it uses the PBE geometry in Alexandria and λ = 1.5418 Å (Cu Kα).
Neutral-atom scattering factors, no anomalous dispersion.

a = 8.526 Å, b = 9.118 Å, c = 10.146 Å
α = 73.26°, β = 75.19°, γ = 71.22°
Fractional positions:
K 0.000 0.000 0.000
K 0.006 0.030 0.549
K 0.019 0.531 0.866
K 0.455 0.480 0.050
K 0.489 0.419 0.511
K 0.519 0.037 0.894
K 0.591 0.025 0.330
K 0.990 0.528 0.404
Na 0.303 0.817 0.272
Na 0.548 0.725 0.679
Cd 0.195 0.199 0.178
Cd 0.699 0.680 0.161
Cd 0.766 0.344 0.755
Cd 0.832 0.328 0.216

Most intense lines, 2θ from 10° to 80°, sorted by position:
Position (°2θ), Rel. int.
10.5, 100
11.1, 81
13.1, 91
13.3, 58
25.2, 57
25.7, 56
26.8, 56
30.8, 76
35.0, 58
35.4, 61

***

Diffraction record for Ac5Pr12Ho2. The X-ray diffraction stick pattern is computed, not measured: it uses the PBE geometry in Alexandria and λ = 1.5418 Å (Cu Kα).
Neutral-atom scattering factors, no anomalous dispersion.

a = 12.223 Å, b = 12.223 Å, c = 9.093 Å
α = 109.94°, β = 109.94°, γ = 35.32°
Fractional positions:
Ac 0.000 0.000 0.000
Ac 0.245 0.245 0.984
Ac 0.349 0.349 0.410
Ac 0.651 0.651 0.590
Ac 0.755 0.755 0.016
Pr 0.053 0.548 0.710
Pr 0.138 0.138 0.545
Pr 0.156 0.635 0.125
Pr 0.365 0.844 0.875
Pr 0.452 0.947 0.290
Pr 0.453 0.453 0.807
Pr 0.547 0.547 0.193
Pr 0.548 0.053 0.710
Pr 0.635 0.156 0.125
Pr 0.844 0.365 0.875
Pr 0.862 0.862 0.455
Pr 0.947 0.452 0.290
Ho 0.259 0.741 0.500
Ho 0.741 0.259 0.500

Most intense lines, 2θ from 10° to 80°, sorted by position:
Position (°2θ), Rel. int.
28.9, 100
29.6, 28
30.1, 29
32.1, 42
35.0, 38
47.9, 14
48.5, 15
55.3, 13
58.7, 11
59.9, 21

***

Diffraction record for Np2Ge2Se7. The X-ray diffraction stick pattern is computed, not measured: it uses the PBE geometry in Alexandria and λ = 1.5418 Å (Cu Kα).
Neutral-atom scattering factors, no anomalous dispersion.

a = 7.162 Å, b = 7.162 Å, c = 8.027 Å
α = 99.73°, β = 99.73°, γ = 117.53°
Fractional positions:
Np 0.172 0.828 0.000
Np 0.828 0.172 0.000
Ge 0.201 0.201 0.613
Ge 0.799 0.799 0.387
Se 0.066 0.419 0.794
Se 0.198 0.198 0.210
Se 0.419 0.066 0.794
Se 0.500 0.500 0.500
Se 0.581 0.934 0.206
Se 0.802 0.802 0.790
Se 0.934 0.581 0.206

Most intense lines, 2θ from 10° to 80°, sorted by position:
Position (°2θ), Rel. int.
11.7, 97
14.5, 47
18.6, 100
21.1, 45
25.2, 46
28.5, 87
29.6, 87
37.5, 72
40.3, 65
44.4, 32

***

Diffraction record for Ca3Sb3Au8. The X-ray diffraction stick pattern is computed, not measured: it uses the PBE geometry in Alexandria and λ = 1.5418 Å (Cu Kα).
Neutral-atom scattering factors, no anomalous dispersion.

a = 8.709 Å, b = 8.709 Å, c = 9.830 Å
α = 122.43°, β = 122.43°, γ = 31.32°
Fractional positions:
Ca 0.000 0.000 0.000
Ca 0.300 0.300 0.275
Ca 0.700 0.700 0.725
Sb 0.000 0.000 0.500
Sb 0.335 0.335 0.701
Sb 0.665 0.665 0.299
Au 0.132 0.132 0.855
Au 0.141 0.141 0.426
Au 0.340 0.340 0.977
Au 0.500 0.500 0.313
Au 0.500 0.500 0.687
Au 0.660 0.660 0.023
Au 0.859 0.859 0.574
Au 0.868 0.868 0.145

Most intense lines, 2θ from 10° to 80°, sorted by position:
Position (°2θ), Rel. int.
18.1, 90
20.9, 43
32.3, 60
33.0, 100
35.5, 44
38.3, 86
38.8, 46
41.8, 66
43.1, 40
55.6, 32

***

Diffraction record for KIO2F2. The X-ray diffraction stick pattern is computed, not measured: it uses the PBE geometry in Alexandria and λ = 1.5418 Å (Cu Kα).
Neutral-atom scattering factors, no anomalous dispersion.

a = 8.604 Å, b = 5.844 Å, c = 8.801 Å
α = 90.00°, β = 90.00°, γ = 90.00°
Fractional positions:
K 0.202 0.025 0.000
K 0.298 0.025 0.500
K 0.702 0.975 0.000
K 0.798 0.975 0.500
I 0.022 0.494 0.767
I 0.478 0.494 0.267
I 0.522 0.506 0.767
I 0.978 0.506 0.267
O 0.030 0.611 0.956
O 0.210 0.358 0.750
O 0.290 0.358 0.250
O 0.470 0.611 0.456
O 0.530 0.389 0.956
O 0.710 0.642 0.750
O 0.790 0.642 0.250
O 0.970 0.389 0.456
F 0.069 0.812 0.341
F 0.098 0.801 0.681
F 0.402 0.801 0.181
F 0.431 0.812 0.841
F 0.569 0.188 0.341
F 0.598 0.199 0.681
F 0.902 0.199 0.181
F 0.931 0.188 0.841

Most intense lines, 2θ from 10° to 80°, sorted by position:
Position (°2θ), Rel. int.
15.2, 59
20.2, 43
20.6, 38
25.3, 100
25.7, 86
29.0, 54
30.6, 21
32.9, 18
42.7, 40
49.0, 28

***

Diffraction record for ScIn2Hg2. The X-ray diffraction stick pattern is computed, not measured: it uses the PBE geometry in Alexandria and λ = 1.5418 Å (Cu Kα).
Neutral-atom scattering factors, no anomalous dispersion.

a = 4.936 Å, b = 4.936 Å, c = 12.104 Å
α = 90.00°, β = 90.00°, γ = 120.00°
Fractional positions:
Sc 0.000 0.000 0.250
Sc 0.000 0.000 0.750
In 0.000 0.000 0.000
In 0.000 0.000 0.500
In 0.333 0.667 0.250
In 0.667 0.333 0.750
Hg 0.333 0.667 0.618
Hg 0.333 0.667 0.882
Hg 0.667 0.333 0.118
Hg 0.667 0.333 0.382

Most intense lines, 2θ from 10° to 80°, sorted by position:
Position (°2θ), Rel. int.
22.1, 19
25.5, 10
30.5, 71
36.4, 100
42.9, 19
48.2, 20
57.5, 14
61.9, 19
65.5, 23
73.4, 18

***

Diffraction record for Ho2Cu5B4. The X-ray diffraction stick pattern is computed, not measured: it uses the PBE geometry in Alexandria and λ = 1.5418 Å (Cu Kα).
Neutral-atom scattering factors, no anomalous dispersion.

a = 4.990 Å, b = 4.990 Å, c = 6.677 Å
α = 101.71°, β = 101.71°, γ = 117.11°
Fractional positions:
Ho 0.146 0.146 0.291
Ho 0.854 0.854 0.709
Cu 0.005 0.503 0.007
Cu 0.250 0.750 0.500
Cu 0.497 0.995 0.993
Cu 0.501 0.499 0.000
Cu 0.750 0.250 0.500
B 0.247 0.451 0.697
B 0.448 0.245 0.696
B 0.549 0.753 0.303
B 0.755 0.552 0.304

Most intense lines, 2θ from 10° to 80°, sorted by position:
Position (°2θ), Rel. int.
21.3, 23
29.7, 100
36.0, 63
40.6, 84
42.5, 80
45.7, 34
58.8, 15
61.6, 26
64.1, 20
76.4, 18

***

Diffraction record for PuAlN2. The X-ray diffraction stick pattern is computed, not measured: it uses the PBE geometry in Alexandria and λ = 1.5418 Å (Cu Kα).
Neutral-atom scattering factors, no anomalous dispersion.

a = 5.850 Å, b = 7.069 Å, c = 5.466 Å
α = 90.00°, β = 90.00°, γ = 90.00°
Fractional positions:
Pu 0.103 0.131 0.000
Pu 0.397 0.631 0.500
Pu 0.603 0.369 0.000
Pu 0.897 0.869 0.500
Al 0.077 0.629 0.008
Al 0.423 0.129 0.508
Al 0.577 0.871 0.008
Al 0.923 0.371 0.508
N 0.041 0.588 0.349
N 0.099 0.148 0.436
N 0.401 0.648 0.936
N 0.459 0.088 0.849
N 0.541 0.912 0.349
N 0.599 0.352 0.436
N 0.901 0.852 0.936
N 0.959 0.412 0.849

Most intense lines, 2θ from 10° to 80°, sorted by position:
Position (°2θ), Rel. int.
19.7, 54
20.5, 93
25.6, 38
29.5, 52
32.8, 52
33.9, 100
34.8, 67
44.7, 42
53.7, 38
64.3, 36

***

Diffraction record for ThPt4Au2. The X-ray diffraction stick pattern is computed, not measured: it uses the PBE geometry in Alexandria and λ = 1.5418 Å (Cu Kα).
Neutral-atom scattering factors, no anomalous dispersion.

a = 5.603 Å, b = 5.603 Å, c = 5.450 Å
α = 118.91°, β = 118.91°, γ = 76.62°
Fractional positions:
Th 0.000 0.000 0.000
Pt 0.000 0.395 0.697
Pt 0.000 0.605 0.303
Pt 0.395 0.000 0.697
Pt 0.605 0.000 0.303
Au 0.499 0.499 0.249
Au 0.501 0.501 0.751

Most intense lines, 2θ from 10° to 80°, sorted by position:
Position (°2θ), Rel. int.
33.2, 56
36.6, 100
37.7, 38
37.8, 37
42.1, 51
42.4, 62
42.6, 20
66.6, 20
66.8, 19
78.5, 21

***

Diffraction record for LiCoTc2. The X-ray diffraction stick pattern is computed, not measured: it uses the PBE geometry in Alexandria and λ = 1.5418 Å (Cu Kα).
Neutral-atom scattering factors, no anomalous dispersion.

a = 2.574 Å, b = 3.978 Å, c = 4.987 Å
α = 90.00°, β = 90.00°, γ = 90.00°
Fractional positions:
Li 0.000 0.000 0.000
Co 0.000 0.000 0.500
Tc 0.500 0.500 0.248
Tc 0.500 0.500 0.752

Most intense lines, 2θ from 10° to 80°, sorted by position:
Position (°2θ), Rel. int.
17.8, 19
22.4, 66
34.8, 21
36.0, 19
41.8, 100
42.8, 93
45.6, 39
51.0, 55
56.3, 21
70.8, 39

***

Diffraction record for BaCu9As4. The X-ray diffraction stick pattern is computed, not measured: it uses the PBE geometry in Alexandria and λ = 1.5418 Å (Cu Kα).
Neutral-atom scattering factors, no anomalous dispersion.

a = 8.611 Å, b = 8.611 Å, c = 8.611 Å
α = 121.72°, β = 121.72°, γ = 87.04°
Fractional positions:
Ba 0.250 0.250 0.000
Ba 0.750 0.750 0.000
Cu 0.000 0.500 0.500
Cu 0.060 0.560 0.268
Cu 0.060 0.797 0.856
Cu 0.203 0.060 0.263
Cu 0.208 0.940 0.500
Cu 0.292 0.792 0.732
Cu 0.297 0.560 0.856
Cu 0.440 0.297 0.737
Cu 0.440 0.708 0.500
Cu 0.500 0.000 0.500
Cu 0.560 0.292 0.500
Cu 0.560 0.703 0.263
Cu 0.703 0.440 0.144
Cu 0.708 0.208 0.268
Cu 0.792 0.060 0.500
Cu 0.797 0.940 0.737
Cu 0.940 0.203 0.144
Cu 0.940 0.440 0.732
As 0.049 0.196 0.500
As 0.196 0.696 0.147
As 0.304 0.451 0.500
As 0.451 0.951 0.147
As 0.549 0.049 0.853
As 0.696 0.549 0.500
As 0.804 0.304 0.853
As 0.951 0.804 0.500

Most intense lines, 2θ from 10° to 80°, sorted by position:
Position (°2θ), Rel. int.
32.4, 32
33.5, 28
33.8, 27
35.9, 55
36.8, 100
43.5, 71
44.6, 65
45.2, 63
45.9, 18
52.6, 24